Structure and simulated PXRD pattern of Cs2MnReO6 (a cell relaxed with PBE+U; Cu Ka).

Most intense lines, 15° ≤ 2θ ≤ 90°, by angle:
- 15.55°, intensity 40, (1 0 0)
- 23.81°, intensity 76, (1 0 1)
- 27.11°, intensity 100, (1 1 0)
- 36.39°, intensity 44, (0 2 1)
- 39.71°, intensity 34, (0 1 2)
- 45.96°, intensity 22, (2 1 1)
- 47.90°, intensity 19, (3 0 0)
- 48.74°, intensity 28, (2 0 2)
- 55.90°, intensity 17, (2 2 0)
- 56.66°, intensity 34, (1 2 2)
- 61.61°, intensity 14, (1 3 1)
- 70.74°, intensity 15, (3 1 2)

Crystal structure
Unit cell a=6.5789 b=6.5789 c=4.9499 alpha=90.00 beta=90.00 gamma=120.00
Space group P-3m1 (No. 164)
One atom of each set of equivalent atoms:
Cs: 0.3333 0.6667 0.2301
Mn: 0.0000 0.0000 0.0000
Re: 0.0000 0.0000 0.5000
O: 0.1327 0.2654 0.7411